[1]
Calculated X-ray diffraction stick pattern
Compound: ZnCo2O4
Radiation: Cu Kα (weighted mean of Kα1 and Kα2)
Structure: DFT lattice parameters and positions (GGA+U)
Neutral-atom scattering factors, no anomalous dispersion.

Crystal structure
```
data_ZnCo2O4
_symmetry_space_group_name_H-M 'P 1'
_symmetry_Int_Tables_number 1
_symmetry_space_group_name_Hall 'P 1'
_cell_length_a 19.766
_cell_length_b 19.766
_cell_length_c 19.766
_cell_angle_alpha 17.27
_cell_angle_beta 17.27
_cell_angle_gamma 17.27
loop_
_atom_site_label
_atom_site_type_symbol
_atom_site_fract_x
_atom_site_fract_y
_atom_site_fract_z
Zn1 Zn 0.000 0.000 0.000
Zn2 Zn 0.062 0.062 0.062
Zn3 Zn 0.155 0.155 0.155
Zn4 Zn 0.251 0.251 0.251
Zn5 Zn 0.313 0.313 0.313
Zn6 Zn 0.501 0.501 0.501
Zn7 Zn 0.750 0.750 0.750
Zn8 Zn 0.907 0.907 0.907
Co1 Co 0.031 0.031 0.531
Co2 Co 0.031 0.531 0.031
Co3 Co 0.032 0.531 0.531
Co4 Co 0.281 0.281 0.779
Co5 Co 0.281 0.779 0.281
Co6 Co 0.281 0.782 0.782
Co7 Co 0.406 0.406 0.406
Co8 Co 0.531 0.031 0.031
Co9 Co 0.531 0.032 0.531
Co10 Co 0.531 0.531 0.032
Co11 Co 0.561 0.561 0.561
Co12 Co 0.656 0.656 0.656
Co13 Co 0.779 0.281 0.281
Co14 Co 0.782 0.281 0.782
Co15 Co 0.782 0.782 0.281
Co16 Co 0.812 0.812 0.812
O1 O 0.087 0.087 0.616
O2 O 0.087 0.616 0.087
O3 O 0.096 0.096 0.096
O4 O 0.131 0.575 0.575
O5 O 0.187 0.730 0.730
O6 O 0.217 0.217 0.217
O7 O 0.235 0.235 0.685
O8 O 0.235 0.685 0.235
O9 O 0.331 0.331 0.878
O10 O 0.331 0.878 0.331
O11 O 0.346 0.346 0.346
O12 O 0.370 0.833 0.833
O13 O 0.451 0.973 0.973
O14 O 0.467 0.467 0.467
O15 O 0.483 0.483 0.939
O16 O 0.483 0.939 0.483
O17 O 0.575 0.131 0.575
O18 O 0.575 0.575 0.131
O19 O 0.595 0.595 0.595
O20 O 0.616 0.087 0.087
O21 O 0.685 0.235 0.235
O22 O 0.716 0.716 0.716
O23 O 0.730 0.187 0.730
O24 O 0.730 0.730 0.187
O25 O 0.833 0.370 0.833
O26 O 0.833 0.833 0.370
O27 O 0.846 0.846 0.846
O28 O 0.878 0.331 0.331
O29 O 0.939 0.483 0.483
O30 O 0.967 0.967 0.967
O31 O 0.973 0.451 0.973
O32 O 0.973 0.973 0.451
```

The 6 most intense peaks (10° ≤ 2θ ≤ 90°), most intense first:
2θ = 35.40°, I 100.0; 2θ = 30.07°, I 41.4; 2θ = 35.46°, I 30.3; 2θ = 56.90°, I 29.3; 2θ = 62.60°, I 28.1; 2θ = 62.41°, I 27.6

---

[2]
Calculated X-ray diffraction stick pattern
Compound: ZnCo4O9
Radiation: Cu Kα (weighted mean of Kα1 and Kα2)
Structure: DFT lattice parameters and positions (GGA+U)
Neutral-atom scattering factors, no anomalous dispersion.

Crystal structure
```
data_ZnCo4O9
_symmetry_space_group_name_H-M 'P 1'
_symmetry_Int_Tables_number 1
_symmetry_space_group_name_Hall 'P 1'
_cell_length_a 4.904
_cell_length_b 8.190
_cell_length_c 8.215
_cell_angle_alpha 89.94
_cell_angle_beta 89.93
_cell_angle_gamma 89.80
loop_
_atom_site_label
_atom_site_type_symbol
_atom_site_fract_x
_atom_site_fract_y
_atom_site_fract_z
Zn1 Zn 0.000 0.000 0.000
Zn2 Zn 0.211 0.501 0.502
Co1 Co 0.492 0.286 0.091
Co2 Co 0.493 0.914 0.286
Co3 Co 0.494 0.718 0.914
Co4 Co 0.496 0.090 0.719
Co5 Co 0.720 0.414 0.786
Co6 Co 0.721 0.218 0.414
Co7 Co 0.721 0.590 0.219
Co8 Co 0.721 0.787 0.591
O1 O 0.045 0.728 0.569
O2 O 0.046 0.275 0.436
O3 O 0.047 0.434 0.731
O4 O 0.049 0.571 0.273
O5 O 0.166 0.935 0.230
O6 O 0.167 0.228 0.069
O7 O 0.169 0.070 0.774
O8 O 0.169 0.775 0.936
O9 O 0.543 0.609 0.712
O10 O 0.545 0.398 0.297
O11 O 0.559 0.295 0.608
O12 O 0.560 0.711 0.398
O13 O 0.601 0.003 0.502
O14 O 0.611 0.502 0.002
O15 O 0.654 0.795 0.107
O16 O 0.662 0.209 0.897
O17 O 0.667 0.109 0.212
O18 O 0.671 0.895 0.794
```

The 6 most intense peaks (10° ≤ 2θ ≤ 90°), most intense first:
2θ = 30.41°, I 100.0; 2θ = 34.58°, I 68.7; 2θ = 18.09°, I 57.5; 2θ = 23.76°, I 53.9; 2θ = 30.50°, I 34.2; 2θ = 49.77°, I 26.0

---

[3]
Calculated X-ray diffraction stick pattern
Compound: ZnCo2O4
Radiation: Cu Kα (weighted mean of Kα1 and Kα2)
Structure: DFT lattice parameters and positions (GGA+U)
Neutral-atom scattering factors, no anomalous dispersion.

Crystal structure
```
data_ZnCo2O4
_symmetry_space_group_name_H-M 'P 1'
_symmetry_Int_Tables_number 1
_symmetry_space_group_name_Hall 'P 1'
_cell_length_a 9.188
_cell_length_b 2.956
_cell_length_c 10.268
_cell_angle_alpha 90.00
_cell_angle_beta 90.00
_cell_angle_gamma 90.00
loop_
_atom_site_label
_atom_site_type_symbol
_atom_site_fract_x
_atom_site_fract_y
_atom_site_fract_z
Zn1 Zn 0.245 0.250 0.156
Zn2 Zn 0.255 0.750 0.656
Zn3 Zn 0.745 0.250 0.344
Zn4 Zn 0.755 0.750 0.844
Co1 Co 0.059 0.250 0.384
Co2 Co 0.093 0.250 0.897
Co3 Co 0.407 0.750 0.397
Co4 Co 0.441 0.750 0.884
Co5 Co 0.559 0.250 0.116
Co6 Co 0.593 0.250 0.603
Co7 Co 0.907 0.750 0.103
Co8 Co 0.941 0.750 0.616
O1 O 0.059 0.750 0.777
O2 O 0.097 0.250 0.564
O3 O 0.115 0.750 0.043
O4 O 0.195 0.750 0.323
O5 O 0.305 0.250 0.823
O6 O 0.385 0.250 0.543
O7 O 0.403 0.750 0.064
O8 O 0.441 0.250 0.277
O9 O 0.559 0.750 0.723
O10 O 0.597 0.250 0.936
O11 O 0.615 0.750 0.457
O12 O 0.695 0.750 0.177
O13 O 0.805 0.250 0.677
O14 O 0.885 0.250 0.957
O15 O 0.903 0.750 0.436
O16 O 0.941 0.250 0.223
```

The 6 most intense peaks (10° ≤ 2θ ≤ 90°), most intense first:
2θ = 34.09°, I 100.0; 2θ = 36.40°, I 60.0; 2θ = 51.14°, I 47.9; 2θ = 34.95°, I 40.6; 2θ = 41.54°, I 38.2; 2θ = 62.15°, I 24.4

---

[4]
Calculated X-ray diffraction stick pattern
Compound: ZnCo2O4
Radiation: Cu Kα (weighted mean of Kα1 and Kα2)
Structure: DFT lattice parameters and positions (GGA+U)
Neutral-atom scattering factors, no anomalous dispersion.

Crystal structure
```
data_ZnCo2O4
_symmetry_space_group_name_H-M 'P 1'
_symmetry_Int_Tables_number 1
_symmetry_space_group_name_Hall 'P 1'
_cell_length_a 5.954
_cell_length_b 5.954
_cell_length_c 14.640
_cell_angle_alpha 90.00
_cell_angle_beta 90.00
_cell_angle_gamma 120.00
loop_
_atom_site_label
_atom_site_type_symbol
_atom_site_fract_x
_atom_site_fract_y
_atom_site_fract_z
Zn1 Zn 0.000 0.000 0.000
Zn2 Zn 0.000 0.000 0.249
Zn3 Zn 0.000 0.000 0.625
Zn4 Zn 0.333 0.667 0.333
Zn5 Zn 0.333 0.667 0.582
Zn6 Zn 0.667 0.333 0.917
Co1 Co 0.001 0.500 0.125
Co2 Co 0.167 0.333 0.792
Co3 Co 0.167 0.833 0.792
Co4 Co 0.331 0.166 0.458
Co5 Co 0.333 0.667 0.957
Co6 Co 0.500 0.500 0.125
Co7 Co 0.500 0.999 0.125
Co8 Co 0.667 0.333 0.293
Co9 Co 0.667 0.333 0.668
Co10 Co 0.667 0.833 0.792
Co11 Co 0.834 0.166 0.458
Co12 Co 0.834 0.669 0.458
O1 O 0.000 0.000 0.383
O2 O 0.000 0.000 0.866
O3 O 0.028 0.514 0.872
O4 O 0.156 0.312 0.531
O5 O 0.156 0.844 0.531
O6 O 0.181 0.362 0.045
O7 O 0.181 0.819 0.045
O8 O 0.317 0.158 0.718
O9 O 0.333 0.667 0.198
O10 O 0.333 0.667 0.716
O11 O 0.361 0.180 0.203
O12 O 0.486 0.514 0.872
O13 O 0.486 0.972 0.872
O14 O 0.515 0.030 0.378
O15 O 0.515 0.485 0.378
O16 O 0.638 0.819 0.045
O17 O 0.667 0.333 0.052
O18 O 0.667 0.333 0.533
O19 O 0.688 0.844 0.531
O20 O 0.820 0.180 0.203
O21 O 0.820 0.639 0.203
O22 O 0.842 0.158 0.718
O23 O 0.842 0.683 0.718
O24 O 0.970 0.485 0.378
```

The 6 most intense peaks (10° ≤ 2θ ≤ 90°), most intense first:
2θ = 35.29°, I 100.0; 2θ = 29.98°, I 42.1; 2θ = 56.76°, I 35.6; 2θ = 35.35°, I 30.9; 2θ = 62.38°, I 28.2; 2θ = 62.21°, I 28.1

---

[5]
Calculated X-ray diffraction stick pattern
Compound: ZnCoO2
Radiation: Cu Kα (weighted mean of Kα1 and Kα2)
Structure: DFT lattice parameters and positions (GGA+U)
Neutral-atom scattering factors, no anomalous dispersion.

Crystal structure
```
data_ZnCoO2
_symmetry_space_group_name_H-M 'P 1'
_symmetry_Int_Tables_number 1
_symmetry_space_group_name_Hall 'P 1'
_cell_length_a 2.888
_cell_length_b 8.249
_cell_length_c 8.592
_cell_angle_alpha 82.19
_cell_angle_beta 80.91
_cell_angle_gamma 80.12
loop_
_atom_site_label
_atom_site_type_symbol
_atom_site_fract_x
_atom_site_fract_y
_atom_site_fract_z
Zn1 Zn 0.081 0.128 0.216
Zn2 Zn 0.355 0.236 0.574
Zn3 Zn 0.645 0.764 0.426
Zn4 Zn 0.919 0.872 0.784
Co1 Co 0.207 0.194 0.887
Co2 Co 0.371 0.445 0.312
Co3 Co 0.629 0.555 0.688
Co4 Co 0.793 0.806 0.113
O1 O 0.071 0.718 0.616
O2 O 0.154 0.889 0.286
O3 O 0.183 0.410 0.737
O4 O 0.368 0.822 0.946
O5 O 0.632 0.178 0.054
O6 O 0.817 0.590 0.263
O7 O 0.846 0.111 0.714
O8 O 0.929 0.282 0.384
```

The 6 most intense peaks (10° ≤ 2θ ≤ 90°), most intense first:
2θ = 34.96°, I 100.0; 2θ = 35.30°, I 93.2; 2θ = 35.48°, I 90.2; 2θ = 28.86°, I 75.6; 2θ = 33.28°, I 67.0; 2θ = 14.31°, I 58.8

---

[6]
Calculated X-ray diffraction stick pattern
Compound: ZnCoO2
Radiation: Cu Kα (weighted mean of Kα1 and Kα2)
Structure: DFT lattice parameters and positions (GGA+U)
Neutral-atom scattering factors, no anomalous dispersion.

Crystal structure
```
data_ZnCoO2
_symmetry_space_group_name_H-M 'P 1'
_symmetry_Int_Tables_number 1
_symmetry_space_group_name_Hall 'P 1'
_cell_length_a 3.009
_cell_length_b 3.055
_cell_length_c 19.894
_cell_angle_alpha 89.15
_cell_angle_beta 85.73
_cell_angle_gamma 60.58
loop_
_atom_site_label
_atom_site_type_symbol
_atom_site_fract_x
_atom_site_fract_y
_atom_site_fract_z
Zn1 Zn 0.000 0.000 0.000
Zn2 Zn 0.003 0.499 0.500
Zn3 Zn 0.489 0.273 0.748
Zn4 Zn 0.495 0.775 0.248
Co1 Co 0.246 0.886 0.624
Co2 Co 0.247 0.387 0.124
Co3 Co 0.745 0.637 0.874
Co4 Co 0.748 0.137 0.374
O1 O 0.118 0.952 0.812
O2 O 0.124 0.456 0.311
O3 O 0.371 0.321 0.937
O4 O 0.373 0.817 0.437
O5 O 0.639 0.656 0.063
O6 O 0.647 0.156 0.564
O7 O 0.845 0.617 0.685
O8 O 0.856 0.118 0.184
```

The 6 most intense peaks (10° ≤ 2θ ≤ 90°), most intense first:
2θ = 42.40°, I 100.0; 2θ = 36.24°, I 88.5; 2θ = 41.33°, I 54.2; 2θ = 60.59°, I 30.3; 2θ = 36.08°, I 30.1; 2θ = 60.76°, I 15.3

---

[7]
Calculated X-ray diffraction stick pattern
Compound: ZnCo2O4
Radiation: Cu Kα (weighted mean of Kα1 and Kα2)
Structure: DFT lattice parameters and positions (GGA+U)
Neutral-atom scattering factors, no anomalous dispersion.

Crystal structure
```
data_ZnCo2O4
_symmetry_space_group_name_H-M 'P 1'
_symmetry_Int_Tables_number 1
_symmetry_space_group_name_Hall 'P 1'
_cell_length_a 7.471
_cell_length_b 7.471
_cell_length_c 9.122
_cell_angle_alpha 126.88
_cell_angle_beta 126.88
_cell_angle_gamma 23.30
loop_
_atom_site_label
_atom_site_type_symbol
_atom_site_fract_x
_atom_site_fract_y
_atom_site_fract_z
Zn1 Zn 0.176 0.176 0.187
Zn2 Zn 0.824 0.824 0.813
Co1 Co 0.131 0.131 0.455
Co2 Co 0.368 0.368 0.191
Co3 Co 0.632 0.632 0.809
Co4 Co 0.869 0.869 0.545
O1 O 0.029 0.029 0.732
O2 O 0.300 0.300 0.938
O3 O 0.332 0.332 0.662
O4 O 0.356 0.356 0.391
O5 O 0.644 0.644 0.609
O6 O 0.668 0.668 0.338
O7 O 0.700 0.700 0.062
O8 O 0.971 0.971 0.268
```

The 6 most intense peaks (10° ≤ 2θ ≤ 90°), most intense first:
2θ = 34.89°, I 100.0; 2θ = 15.32°, I 81.6; 2θ = 30.93°, I 79.3; 2θ = 43.07°, I 57.4; 2θ = 30.50°, I 54.1; 2θ = 42.19°, I 46.2

---

[8]
Calculated X-ray diffraction stick pattern
Compound: ZnCoO2
Radiation: Cu Kα (weighted mean of Kα1 and Kα2)
Structure: DFT lattice parameters and positions (GGA+U)
Neutral-atom scattering factors, no anomalous dispersion.

Crystal structure
```
data_ZnCoO2
_symmetry_space_group_name_H-M 'P 1'
_symmetry_Int_Tables_number 1
_symmetry_space_group_name_Hall 'P 1'
_cell_length_a 2.960
_cell_length_b 8.078
_cell_length_c 8.357
_cell_angle_alpha 88.75
_cell_angle_beta 81.20
_cell_angle_gamma 82.29
loop_
_atom_site_label
_atom_site_type_symbol
_atom_site_fract_x
_atom_site_fract_y
_atom_site_fract_z
Zn1 Zn 0.108 0.086 0.250
Zn2 Zn 0.322 0.263 0.597
Zn3 Zn 0.678 0.737 0.403
Zn4 Zn 0.892 0.914 0.750
Co1 Co 0.135 0.585 0.737
Co2 Co 0.346 0.763 0.084
Co3 Co 0.654 0.237 0.916
Co4 Co 0.865 0.415 0.263
O1 O 0.102 0.263 0.071
O2 O 0.289 0.594 0.283
O3 O 0.316 0.092 0.771
O4 O 0.457 0.243 0.370
O5 O 0.543 0.757 0.630
O6 O 0.684 0.908 0.229
O7 O 0.711 0.406 0.717
O8 O 0.898 0.737 0.929
```

The 6 most intense peaks (10° ≤ 2θ ≤ 90°), most intense first:
2θ = 31.13°, I 100.0; 2θ = 34.46°, I 98.8; 2θ = 34.81°, I 90.6; 2θ = 35.34°, I 81.8; 2θ = 35.02°, I 78.2; 2θ = 21.52°, I 63.7

---

[9]
Calculated X-ray diffraction stick pattern
Compound: ZnCo2O4
Radiation: Cu Kα (weighted mean of Kα1 and Kα2)
Structure: DFT lattice parameters and positions (GGA+U)
Neutral-atom scattering factors, no anomalous dispersion.

Crystal structure
```
data_ZnCo2O4
_symmetry_space_group_name_H-M 'P 1'
_symmetry_Int_Tables_number 1
_symmetry_space_group_name_Hall 'P 1'
_cell_length_a 5.868
_cell_length_b 5.868
_cell_length_c 19.339
_cell_angle_alpha 98.93
_cell_angle_beta 98.93
_cell_angle_gamma 59.43
loop_
_atom_site_label
_atom_site_type_symbol
_atom_site_fract_x
_atom_site_fract_y
_atom_site_fract_z
Zn1 Zn 0.000 0.000 0.000
Zn2 Zn 0.225 0.225 0.156
Zn3 Zn 0.250 0.250 0.750
Zn4 Zn 0.376 0.376 0.625
Zn5 Zn 0.474 0.474 0.905
Zn6 Zn 0.500 0.500 0.499
Zn7 Zn 0.625 0.625 0.374
Zn8 Zn 0.750 0.750 0.249
Co1 Co 0.001 0.500 0.000
Co2 Co 0.001 0.501 0.499
Co3 Co 0.028 0.028 0.592
Co4 Co 0.126 0.126 0.875
Co5 Co 0.247 0.752 0.248
Co6 Co 0.249 0.754 0.751
Co7 Co 0.278 0.278 0.341
Co8 Co 0.500 0.001 0.000
Co9 Co 0.501 0.001 0.499
Co10 Co 0.529 0.529 0.093
Co11 Co 0.723 0.723 0.657
Co12 Co 0.752 0.247 0.248
Co13 Co 0.754 0.249 0.751
Co14 Co 0.778 0.778 0.844
Co15 Co 0.876 0.876 0.124
Co16 Co 0.973 0.973 0.407
O1 O 0.046 0.046 0.190
O2 O 0.056 0.056 0.693
O3 O 0.056 0.605 0.188
O4 O 0.080 0.576 0.692
O5 O 0.152 0.689 0.062
O6 O 0.179 0.669 0.557
O7 O 0.192 0.192 0.555
O8 O 0.194 0.194 0.052
O9 O 0.297 0.297 0.940
O10 O 0.304 0.304 0.443
O11 O 0.309 0.853 0.939
O12 O 0.333 0.822 0.442
O13 O 0.401 0.941 0.812
O14 O 0.427 0.920 0.306
O15 O 0.440 0.440 0.304
O16 O 0.444 0.444 0.802
O17 O 0.554 0.554 0.196
O18 O 0.561 0.561 0.695
O19 O 0.576 0.080 0.692
O20 O 0.605 0.056 0.188
O21 O 0.669 0.179 0.557
O22 O 0.689 0.152 0.062
O23 O 0.697 0.697 0.556
O24 O 0.704 0.704 0.059
O25 O 0.805 0.805 0.946
O26 O 0.809 0.809 0.444
O27 O 0.822 0.333 0.442
O28 O 0.853 0.309 0.939
O29 O 0.920 0.427 0.306
O30 O 0.941 0.401 0.812
O31 O 0.947 0.947 0.307
O32 O 0.955 0.955 0.810
```

The 6 most intense peaks (10° ≤ 2θ ≤ 90°), most intense first:
2θ = 36.11°, I 100.0; 2θ = 35.96°, I 87.5; 2θ = 63.96°, I 51.8; 2θ = 30.71°, I 37.5; 2θ = 36.20°, I 34.9; 2θ = 63.41°, I 34.4